Entry 1:
For Tb2SbHRh6, a crystal structure in Alexandria, relaxed with GGA-PBE gives the computed PXRD pattern in this record (a wavelength of 1.5418 Å).

Cell lengths 8.824, 8.805, 6.059 Å; angles 90.00, 133.29, 90.00 degrees
Space group C2/m (No. 12)
One atom of each set of equivalent atoms:
Tb 0.000 0.244 0.000 (multiplicity 4)
Sb 0.000 0.000 0.500 (multiplicity 2)
H 0.000 0.500 0.500 (multiplicity 2)
Rh 0.000 0.281 0.500 (multiplicity 4)
Rh 0.212 0.500 0.484 (multiplicity 4)
Rh 0.212 0.500 0.940 (multiplicity 4)

Top 10 peaks for 2θ = 15–90°, sorted by position:
| 2θ (°) | d_spacing | Rel. int. |
| --- | --- | --- |
| 28.7 | 3.115 | 22.1 |
| 34.6 | 2.594 | 61.2 |
| 36.0 | 2.496 | 59.5 |
| 41.0 | 2.203 | 100.0 |
| 44.4 | 2.040 | 10.7 |
| 57.4 | 1.606 | 9.6 |
| 59.3 | 1.557 | 38.8 |
| 61.2 | 1.515 | 10.1 |
| 69.6 | 1.350 | 10.4 |
| 72.2 | 1.308 | 12.1 |


Entry 2:
For Tm2SbHRh6, a crystal structure in Alexandria, relaxed with GGA-PBE gives the computed PXRD pattern in this record (a wavelength of 1.5418 Å).

Cell lengths 6.007, 6.410, 8.755 Å; angles 90.00, 90.00, 90.00 degrees
Space group Immm (No. 71)
One atom of each set of equivalent atoms:
Tm 0.000 0.000 0.245 (multiplicity 4)
Sb 0.000 0.500 0.500 (multiplicity 2)
H 0.000 0.500 0.000 (multiplicity 2)
Rh 0.000 0.500 0.219 (multiplicity 4)
Rh 0.229 0.288 0.000 (multiplicity 8)

Top 10 peaks for 2θ = 15–90°, sorted by position:
| 2θ (°) | d_spacing | Rel. int. |
| --- | --- | --- |
| 28.8 | 3.097 | 24.5 |
| 34.7 | 2.586 | 62.4 |
| 36.3 | 2.477 | 59.8 |
| 41.2 | 2.191 | 100.0 |
| 44.6 | 2.031 | 10.0 |
| 59.7 | 1.549 | 39.1 |
| 61.8 | 1.502 | 10.0 |
| 69.9 | 1.345 | 10.9 |
| 72.8 | 1.299 | 12.4 |
| 77.0 | 1.238 | 9.8 |


Entry 3:
For ScH12Rh5, a crystal structure in Alexandria, relaxed with GGA-PBE gives the computed PXRD pattern in this record (a wavelength of 1.5418 Å).

Cell lengths 4.572, 5.005, 6.914 Å; angles 103.75, 94.15, 111.51 degrees
Space group P-1 (No. 2)
One atom of each set of equivalent atoms:
Sc 0.000 0.000 0.000 (multiplicity 1)
H 0.108 0.751 0.734 (multiplicity 2)
H 0.155 0.699 0.115 (multiplicity 2)
H 0.225 0.266 0.626 (multiplicity 2)
H 0.313 0.762 0.472 (multiplicity 2)
H 0.408 0.284 0.929 (multiplicity 2)
H 0.418 0.235 0.252 (multiplicity 2)
Rh 0.243 0.540 0.865 (multiplicity 2)
Rh 0.454 0.046 0.708 (multiplicity 2)
Rh 0.500 0.500 0.500 (multiplicity 1)

Top 10 peaks for 2θ = 15–90°, sorted by position:
| 2θ (°) | d_spacing | Rel. int. |
| --- | --- | --- |
| 21.2 | 4.187 | 44.7 |
| 27.1 | 3.285 | 67.7 |
| 37.0 | 2.427 | 100.0 |
| 37.5 | 2.397 | 12.7 |
| 37.9 | 2.377 | 42.9 |
| 38.2 | 2.355 | 12.5 |
| 40.2 | 2.246 | 34.7 |
| 40.4 | 2.232 | 30.9 |
| 41.4 | 2.181 | 23.0 |
| 65.5 | 1.425 | 11.4 |


Entry 4:
For ScH11Rh5, a crystal structure in Alexandria, relaxed with GGA-PBE gives the computed PXRD pattern in this record (a wavelength of 1.5418 Å).

Cell lengths 7.021, 7.764, 5.338 Å; angles 90.00, 106.31, 90.00 degrees
Space group C2/m (No. 12)
One atom of each set of equivalent atoms:
Sc 0.000 0.000 0.000 (multiplicity 2)
H 0.000 0.000 0.500 (multiplicity 2)
H 0.093 0.246 0.358 (multiplicity 8)
H 0.191 0.500 0.313 (multiplicity 4)
H 0.194 0.370 0.935 (multiplicity 8)
Rh 0.000 0.500 0.000 (multiplicity 2)
Rh 0.167 0.194 0.716 (multiplicity 8)

Top 10 peaks for 2θ = 15–90°, sorted by position:
| 2θ (°) | d_spacing | Rel. int. |
| --- | --- | --- |
| 21.9 | 4.067 | 98.3 |
| 28.9 | 3.094 | 57.0 |
| 35.3 | 2.545 | 65.1 |
| 35.8 | 2.510 | 100.0 |
| 35.9 | 2.500 | 97.6 |
| 37.2 | 2.416 | 35.0 |
| 37.7 | 2.388 | 66.9 |
| 39.6 | 2.275 | 40.4 |
| 42.3 | 2.138 | 80.3 |
| 43.0 | 2.105 | 52.0 |


Entry 5:
For SrScH8Rh2, a crystal structure in Alexandria, relaxed with GGA-PBE gives the computed PXRD pattern in this record (a wavelength of 1.5418 Å).

Cell lengths 4.9506, 4.9506, 17.3681 Å; angles 90.00, 90.00, 120.00 degrees
Space group R-3 (No. 148, hexagonal axes)
One atom of each set of equivalent atoms:
Sr 0.0000 0.0000 0.0000 (multiplicity 3)
Sc 0.0000 0.0000 0.5000 (multiplicity 3)
H 0.0000 0.0000 0.2943 (multiplicity 6)
H 0.0317 0.7487 0.8810 (multiplicity 18)
Rh 0.0000 0.0000 0.1935 (multiplicity 6)

Top 10 peaks for 2θ = 15–90°, sorted by position:
| 2θ (°) | d_spacing | Rel. int. |
| --- | --- | --- |
| 15.3 | 5.789 | 54.4 |
| 21.3 | 4.162 | 45.8 |
| 29.3 | 3.051 | 41.0 |
| 30.9 | 2.895 | 25.9 |
| 33.2 | 2.699 | 65.4 |
| 36.3 | 2.475 | 100.0 |
| 39.6 | 2.276 | 24.8 |
| 48.4 | 1.881 | 43.9 |
| 50.0 | 1.824 | 21.1 |
| 57.2 | 1.610 | 23.7 |


Entry 6:
For HRhSe2, a crystal structure in Alexandria, relaxed with GGA-PBE gives the computed PXRD pattern in this record (a wavelength of 1.5418 Å).

Cell lengths 7.091, 6.882, 7.063 Å; angles 90.00, 119.30, 90.00 degrees
Space group Cc (No. 9)
One atom of each set of equivalent atoms:
H 0.000 0.199 0.000 (multiplicity 4)
Rh 0.049 0.370 0.435 (multiplicity 4)
Se 0.233 0.363 0.833 (multiplicity 4)
Se 0.364 0.146 0.524 (multiplicity 4)

Top 10 peaks for 2θ = 15–90°, sorted by position:
| 2θ (°) | d_spacing | Rel. int. |
| --- | --- | --- |
| 19.3 | 4.600 | 96.7 |
| 19.4 | 4.568 | 73.9 |
| 29.0 | 3.080 | 37.8 |
| 36.4 | 2.469 | 100.0 |
| 40.8 | 2.214 | 32.4 |
| 40.9 | 2.205 | 24.2 |
| 41.1 | 2.196 | 46.9 |
| 42.0 | 2.150 | 25.6 |
| 47.4 | 1.917 | 25.9 |
| 56.2 | 1.637 | 20.5 |


Entry 7:
For SmH7Rh2, a crystal structure in Alexandria, relaxed with GGA-PBE gives the computed PXRD pattern in this record (a wavelength of 1.5418 Å).

Cell lengths 5.331, 8.806, 3.617 Å; angles 90.00, 90.00, 90.00 degrees
Space group Cmmm (No. 65)
One atom of each set of equivalent atoms:
Sm 0.000 0.000 0.000 (multiplicity 2)
H 0.000 0.311 0.000 (multiplicity 4)
H 0.000 0.500 0.500 (multiplicity 2)
H 0.185 0.140 0.500 (multiplicity 8)
Rh 0.000 0.310 0.500 (multiplicity 4)

Top 10 peaks for 2θ = 15–90°, sorted by position:
| 2θ (°) | d_spacing | Rel. int. |
| --- | --- | --- |
| 31.6 | 2.834 | 100.0 |
| 32.0 | 2.795 | 85.1 |
| 33.6 | 2.666 | 53.9 |
| 34.9 | 2.571 | 86.4 |
| 47.1 | 1.929 | 57.4 |
| 50.5 | 1.808 | 17.5 |
| 61.0 | 1.518 | 35.6 |
| 62.0 | 1.497 | 18.0 |
| 62.8 | 1.479 | 30.9 |
| 83.0 | 1.163 | 19.8 |


Entry 8:
For SmH12Rh5, a crystal structure in Alexandria, relaxed with GGA-PBE gives the computed PXRD pattern in this record (a wavelength of 1.5418 Å).

Cell lengths 4.841, 5.314, 7.247 Å; angles 96.59, 106.28, 113.62 degrees
Space group P-1 (No. 2)
One atom of each set of equivalent atoms:
Sm 0.000 0.000 0.000 (multiplicity 1)
H 0.095 0.360 0.500 (multiplicity 2)
H 0.133 0.740 0.237 (multiplicity 2)
H 0.208 0.391 0.252 (multiplicity 2)
H 0.302 0.962 0.790 (multiplicity 2)
H 0.396 0.187 0.589 (multiplicity 2)
H 0.461 0.613 0.914 (multiplicity 2)
Rh 0.137 0.589 0.728 (multiplicity 2)
Rh 0.420 0.691 0.161 (multiplicity 2)
Rh 0.500 0.500 0.500 (multiplicity 1)

Top 10 peaks for 2θ = 15–90°, sorted by position:
| 2θ (°) | d_spacing | Rel. int. |
| --- | --- | --- |
| 18.9 | 4.704 | 58.3 |
| 25.8 | 3.457 | 49.4 |
| 32.3 | 2.772 | 65.3 |
| 34.2 | 2.618 | 53.7 |
| 34.8 | 2.581 | 37.4 |
| 36.4 | 2.467 | 100.0 |
| 36.7 | 2.451 | 45.1 |
| 37.3 | 2.410 | 94.7 |
| 38.2 | 2.355 | 89.2 |
| 40.7 | 2.215 | 42.4 |


Entry 9:
For SmH12Rh4, a crystal structure in Alexandria, relaxed with GGA-PBE gives the computed PXRD pattern in this record (a wavelength of 1.5418 Å).

Cell lengths 6.810, 6.810, 6.810 Å; angles 90.00, 90.00, 90.00 degrees
Space group Im-3 (No. 204)
One atom of each set of equivalent atoms:
Sm 0.000 0.000 0.000 (multiplicity 2)
H 0.000 0.234 0.292 (multiplicity 24)
Rh 0.250 0.250 0.250 (multiplicity 8)

Top 10 peaks for 2θ = 15–90°, sorted by position:
| 2θ (°) | d_spacing | Rel. int. |
| --- | --- | --- |
| 18.4 | 4.815 | 40.4 |
| 26.2 | 3.405 | 31.8 |
| 32.2 | 2.780 | 21.0 |
| 37.3 | 2.408 | 100.0 |
| 42.0 | 2.153 | 10.2 |
| 50.1 | 1.820 | 12.0 |
| 53.9 | 1.702 | 18.0 |
| 60.8 | 1.523 | 10.9 |
| 67.4 | 1.390 | 35.1 |
| 79.6 | 1.204 | 11.1 |


Entry 10:
For Tb2SnHRh6, a crystal structure in Alexandria, relaxed with GGA-PBE gives the computed PXRD pattern in this record (a wavelength of 1.5418 Å).

Cell lengths 5.623, 5.643, 6.983 Å; angles 89.99, 66.26, 60.13 degrees
Space group P-1 (No. 2)
One atom of each set of equivalent atoms:
Tb 0.043 0.233 0.183 (multiplicity 2)
Sn 0.500 0.500 0.000 (multiplicity 1)
H 0.500 0.000 0.500 (multiplicity 1)
Rh 0.053 0.219 0.675 (multiplicity 2)
Rh 0.437 0.289 0.336 (multiplicity 2)
Rh 0.445 0.781 0.326 (multiplicity 2)

Top 10 peaks for 2θ = 15–90°, sorted by position:
| 2θ (°) | d_spacing | Rel. int. |
| --- | --- | --- |
| 28.9 | 3.093 | 21.6 |
| 30.3 | 2.954 | 18.4 |
| 34.9 | 2.567 | 35.9 |
| 38.0 | 2.368 | 32.1 |
| 38.2 | 2.357 | 67.3 |
| 38.7 | 2.327 | 36.1 |
| 41.8 | 2.160 | 100.0 |
| 57.8 | 1.594 | 19.9 |
| 61.3 | 1.512 | 18.4 |
| 66.2 | 1.411 | 24.2 |


Entry 11:
For SrH5Rh, a crystal structure in Alexandria, relaxed with GGA-PBE gives the computed PXRD pattern in this record (a wavelength of 1.5418 Å).

Cell lengths 3.579, 5.472, 7.125 Å; angles 90.00, 90.00, 90.00 degrees
Space group Immm (No. 71)
One atom of each set of equivalent atoms:
Sr 0.000 0.000 0.000 (multiplicity 2)
H 0.000 0.221 0.340 (multiplicity 8)
H 0.000 0.500 0.000 (multiplicity 2)
Rh 0.000 0.000 0.500 (multiplicity 2)

Top 10 peaks for 2θ = 15–90°, sorted by position:
| 2θ (°) | d_spacing | Rel. int. |
| --- | --- | --- |
| 25.0 | 3.562 | 78.0 |
| 29.8 | 2.995 | 100.0 |
| 32.7 | 2.736 | 37.5 |
| 39.3 | 2.293 | 92.7 |
| 41.6 | 2.170 | 41.4 |
| 56.6 | 1.625 | 15.5 |
| 57.6 | 1.599 | 15.0 |
| 60.5 | 1.531 | 25.8 |
| 62.9 | 1.479 | 23.2 |
| 67.9 | 1.381 | 18.7 |


Entry 12:
For Sr2H8Rh, a crystal structure in Alexandria, relaxed with GGA-PBE gives the computed PXRD pattern in this record (a wavelength of 1.5418 Å).

Cell lengths 14.931, 3.762, 4.608 Å; angles 90.00, 107.03, 90.00 degrees
Space group C2/m (No. 12)
One atom of each set of equivalent atoms:
Sr 0.154 0.000 0.166 (multiplicity 4)
H 0.010 0.000 0.605 (multiplicity 4)
H 0.054 0.500 0.869 (multiplicity 4)
H 0.108 0.500 0.456 (multiplicity 4)
H 0.240 0.000 0.746 (multiplicity 4)
Rh 0.000 0.500 0.500 (multiplicity 2)

Top 10 peaks for 2θ = 15–90°, sorted by position:
| 2θ (°) | d_spacing | Rel. int. |
| --- | --- | --- |
| 26.7 | 3.337 | 71.7 |
| 27.2 | 3.283 | 66.2 |
| 30.3 | 2.951 | 100.0 |
| 30.7 | 2.914 | 97.6 |
| 37.8 | 2.379 | 24.4 |
| 39.1 | 2.303 | 25.9 |
| 49.2 | 1.852 | 24.1 |
| 49.7 | 1.834 | 21.8 |
| 50.0 | 1.825 | 25.7 |
| 50.5 | 1.807 | 21.8 |